No. 1
Starting from a crystal structure in OQMD, relaxed with PBE, the X-ray diffraction stick pattern of TlRe3As5 was simulated for CuKα.

The 8 most intense peaks (10° ≤ 2θ ≤ 90°), in order of falling intensity:
45.46°, I 100
11.41°, I 75
22.28°, I 53
38.70°, I 37
40.47°, I 30
22.93°, I 29
70.04°, I 26
35.36°, I 26

Cell and atoms:
Cell lengths 5.3735, 5.3735, 7.7568 Å; angles 90.00, 90.00, 120.00 degrees
Fractional positions:
Tl  0.0000  0.0000  0.0000
Re  0.0000  0.5000  0.5000
Re  0.5000  0.0000  0.5000
Re  0.5000  0.5000  0.5000
As  0.0000  0.0000  0.5000
As  0.3333  0.6667  0.2270
As  0.3333  0.6667  0.7730
As  0.6667  0.3333  0.2270
As  0.6667  0.3333  0.7730

No. 2
Starting from a crystal structure in OQMD, relaxed with PBE, the X-ray diffraction stick pattern of Re2AsW was simulated for CuKα.

The 8 most intense peaks (10° ≤ 2θ ≤ 90°), in order of falling intensity:
40.66°, I 100
74.00°, I 35
58.86°, I 17
88.04°, I 12
24.57°, I 7
48.09°, I 4
28.45°, I 3
64.75°, I 2

Cell and atoms:
Cell lengths 6.2755, 6.2755, 6.2755 Å; angles 90.00, 90.00, 90.00 degrees
Fractional positions:
Re  0.0000  0.0000  0.0000
Re  0.0000  0.5000  0.5000
Re  0.2500  0.2500  0.2500
Re  0.2500  0.7500  0.7500
Re  0.5000  0.0000  0.5000
Re  0.5000  0.5000  0.0000
Re  0.7500  0.2500  0.7500
Re  0.7500  0.7500  0.2500
As  0.0000  0.0000  0.5000
As  0.0000  0.5000  0.0000
As  0.5000  0.0000  0.0000
As  0.5000  0.5000  0.5000
W  0.2500  0.2500  0.7500
W  0.2500  0.7500  0.2500
W  0.7500  0.2500  0.2500
W  0.7500  0.7500  0.7500

No. 3
Starting from a crystal structure in OQMD, relaxed with PBE, the X-ray diffraction stick pattern of Zn2Sn2Sb3As was simulated for CuKα.

The 8 most intense peaks (10° ≤ 2θ ≤ 90°), in order of falling intensity:
24.63°, I 100
40.77°, I 76
48.19°, I 30
48.25°, I 16
74.25°, I 15
64.96°, I 11
74.14°, I 8
59.06°, I 8

Cell and atoms:
Cell lengths 14.0014, 6.2546, 6.2580 Å; angles 90.00, 116.44, 90.00 degrees
Fractional positions:
Zn  0.1199  0.0000  0.3562
Zn  0.3801  0.5000  0.6438
Zn  0.6199  0.5000  0.3562
Zn  0.8801  0.0000  0.6438
Sn  0.1212  0.5252  0.8825
Sn  0.3788  0.0252  0.1175
Sn  0.6212  0.0252  0.8825
Sn  0.8788  0.5252  0.1175
Sb  0.0000  0.2380  0.5000
Sb  0.2498  0.2623  0.2785
Sb  0.2502  0.7623  0.7215
Sb  0.5000  0.7380  0.5000
Sb  0.7502  0.2623  0.7215
Sb  0.7498  0.7623  0.2785
As  0.0000  0.7874  0.0000
As  0.5000  0.2874  0.0000

No. 4
Starting from a crystal structure in OQMD, relaxed with PBE, the X-ray diffraction stick pattern of ZnSnSbAs was simulated for CuKα.

The 8 most intense peaks (10° ≤ 2θ ≤ 90°), in order of falling intensity:
25.04°, I 100
41.46°, I 75
49.05°, I 41
75.59°, I 13
60.09°, I 12
66.08°, I 11
33.33°, I 8
75.68°, I 8

Cell and atoms:
Cell lengths 8.7122, 8.7133, 7.5334 Å; angles 90.00, 125.18, 90.00 degrees
Fractional positions:
Zn  0.0000  0.1384  0.0000
Zn  0.0000  0.8616  0.5000
Zn  0.5000  0.3616  0.5000
Zn  0.5000  0.6384  0.0000
Sn  0.0246  0.3860  0.5000
Sn  0.0246  0.6140  0.0000
Sn  0.5246  0.1140  0.0000
Sn  0.5246  0.8860  0.5000
Sb  0.1242  0.1121  0.7503
Sb  0.1242  0.8879  0.2503
Sb  0.6242  0.3879  0.2503
Sb  0.6242  0.6121  0.7503
As  0.1501  0.3619  0.2496
As  0.1501  0.6381  0.7496
As  0.6501  0.1381  0.7496
As  0.6501  0.8619  0.2496